Diffraction record for KThCu2Br8. The XRD peak list is calculated, not measured: it uses DFT lattice parameters and positions (GGA-PBE) and Cu Kα X-rays.

Structural model:
a = 11.1056 Å, b = 7.9146 Å, c = 9.9364 Å
α = 90.00°, β = 91.36°, γ = 90.00°
Space group C2/m (No. 12)
Unique sites:
1 K 0.0000 0.0000 0.0000 [2 per cell]
2 Th 0.0000 0.0000 0.5000 [2 per cell]
3 Cu 0.1530 0.5000 0.2668 [4 per cell]
4 Br 0.0039 0.2481 0.2905 [8 per cell]
5 Br 0.2031 0.5000 0.0436 [4 per cell]
6 Br 0.2420 0.5000 0.4911 [4 per cell]

Largest 10 diffraction maxima, by angle, 15 to 90 degrees two-theta:
- d = 5.441 Å, I = 1000
- d = 4.798 Å, I = 421
- d = 3.959 Å, I = 484
- d = 3.908 Å, I = 355
- d = 3.352 Å, I = 691
- d = 3.222 Å, I = 353
- d = 3.095 Å, I = 946
- d = 2.485 Å, I = 461
- d = 2.081 Å, I = 509
- d = 2.051 Å, I = 463